(1)
This entry pairs a crystal structure of Tb2Cu2O5 with its calculated PXRD pattern. Radiation: Cu Kα (λ = 1.5418 Å). Structure: a structure optimized by DFT (PBE).

Peak list (12 most intense, 2θ from 15° to 90°, in order of falling intensity)
2theta	Rel. int.	(hkl)
30.9	100	2 1 1
32.9	79	2 0 4
33.0	58	0 1 3
21.6	44	2 0 2
44.3	35	4 1 2
47.3	31	4 1 3
30.0	31	2 1 0
26.8	28	2 0 3
51.3	24	4 1 4
60.1	21	2 1 7
33.7	21	4 0 1
55.1	17	6 0 3

Structure:
```
data_Tb2Cu2O5
_symmetry_space_group_name_H-M 'P n a 21'
_symmetry_Int_Tables_number 33
_symmetry_space_group_name_Hall 'P 2c -2n'
_cell_length_a 10.899
_cell_length_b 3.555
_cell_length_c 12.588
_cell_angle_alpha 90.00
_cell_angle_beta 90.00
_cell_angle_gamma 90.00
loop_
_atom_site_label
_atom_site_type_symbol
_atom_site_fract_x
_atom_site_fract_y
_atom_site_fract_z
Tb1 Tb 0.042 0.221 0.000
Tb2 Tb 0.208 0.219 0.672
Cu1 Cu 0.011 0.342 0.284
Cu2 Cu 0.239 0.155 0.388
O1 O 0.073 0.277 0.434
O2 O 0.077 0.726 0.645
O3 O 0.125 0.347 0.836
O4 O 0.174 0.724 0.026
O5 O 0.177 0.220 0.238
```

(2)
This entry pairs a crystal structure of CuTeO3 with its calculated PXRD pattern. Radiation: Cu Kα (λ = 1.5418 Å). Structure: a structure optimized by DFT (PBE).

Peak list (12 most intense, 2θ from 15° to 90°, in order of falling intensity)
2theta	Rel. int.	(hkl)
30.9	100	2 2 1
28.4	54	1 2 1
27.7	43	4 0 0
20.0	37	1 1 1
30.5	32	1 0 2
36.5	26	3 0 2
51.9	23	1 2 3
30.1	22	4 1 0
34.9	21	2 1 2
25.5	19	3 0 1
47.4	15	0 4 0
38.7	14	1 2 2

Structure:
```
data_CuTeO3
_symmetry_space_group_name_H-M 'P n m a'
_symmetry_Int_Tables_number 62
_symmetry_space_group_name_Hall '-P 2ac 2n'
_cell_length_a 12.883
_cell_length_b 7.678
_cell_length_c 6.017
_cell_angle_alpha 90.00
_cell_angle_beta 90.00
_cell_angle_gamma 90.00
loop_
_atom_site_label
_atom_site_type_symbol
_atom_site_fract_x
_atom_site_fract_y
_atom_site_fract_z
Cu1 Cu 0.095 0.045 0.150
Te1 Te 0.111 0.250 0.679
Te2 Te 0.156 0.750 0.586
O1 O 0.010 0.250 0.443
O2 O 0.042 0.069 0.846
O3 O 0.168 0.547 0.403
O4 O 0.181 0.250 0.076
```